Starting from a crystal structure in Alexandria, relaxed with GGA-PBE, the powder X-ray diffraction pattern of Y2TiHgO6 was calculated for Cu Kα (λ = 1.5418 Å).
Lines closer than 0.1° are merged.

Atomic structure:
abc: 5.304 5.304 5.371
angles: 90.00 90.00 90.00
Fractional coordinates of all 10 atoms:
Y 0.000 0.500 0.000
Y 0.500 0.000 0.000
Ti 0.000 0.000 0.628
Hg 0.500 0.500 0.532
O 0.000 0.000 0.285
O 0.235 0.235 0.775
O 0.235 0.765 0.775
O 0.500 0.500 0.144
O 0.765 0.235 0.775
O 0.765 0.765 0.775

The 10 most intense peaks (10° ≤ 2θ ≤ 80°), in order of falling intensity:
| index | two_theta | d (Å) | I (rel.) |
| --- | --- | --- | --- |
| 1 1 1 | 29.0 | 3.075 | 100 |
| 2 0 0 | 33.8 | 2.652 | 32 |
| 3 1 1 | 57.6 | 1.601 | 29 |
| 2 0 2 | 48.2 | 1.887 | 27 |
| 1 0 0 | 16.7 | 5.304 | 22 |
| 1 0 1 | 23.6 | 3.774 | 22 |
| 2 2 0 | 48.5 | 1.875 | 19 |
| 1 0 2 | 37.5 | 2.396 | 14 |
| 1 1 3 | 57.0 | 1.616 | 11 |
| 2 1 1 | 41.6 | 2.170 | 11 |